Structure and theoretical powder diffraction line list of Zr8Ga2C3N3 (a crystal structure in OQMD, relaxed with GGA-PBE; a wavelength of 1.5418 Å).
Neutral-atom scattering factors, no anomalous dispersion.

Crystal structure
Cell lengths 3.3134, 3.3134, 24.6798 Å; angles 90.00, 90.00, 120.00 degrees
Space group P-3m1 (No. 164)
Symmetry-distinct sites (fractional):
Zr 0.0000 0.0000 0.1572
Zr 0.0000 0.0000 0.3393
Zr 0.3333 0.6667 0.5534
Zr 0.3333 0.6667 0.9453
Ga 0.3333 0.6667 0.7525
C 0.0000 0.0000 0.5000
C 0.3333 0.6667 0.3870
N 0.0000 0.0000 0.0000
N 0.3333 0.6667 0.1070

Main lines, sorted by position (10 to 90 degrees two-theta):
(hkl), d_spacing, two_theta, intensity
1 0 1, 2.850, 31.4, 24.5
0 1 2, 2.795, 32.0, 22.9
1 0 4, 2.602, 34.5, 42.9
0 1 5, 2.481, 36.2, 81.7
0 0 10, 2.468, 36.4, 36.3
1 0 6, 2.353, 38.2, 100.0
0 1 12, 1.672, 54.9, 15.9
1 1 0, 1.657, 55.5, 49.4
1 1 10, 1.376, 68.2, 34.2
0 2 6, 1.355, 69.4, 15.9